The following is a simulated powder diffractogram of MgCu3Te2Br2O6. It was derived from a GGA-PBE-relaxed structure, using a wavelength of 1.5418 Å.
Peak positions follow from Bragg's law for the DFT cell and can differ from measured ones.

Largest 6 diffraction maxima, in order of falling intensity, 2θ from 15° to 90°:
| 2θ/deg | intensity |
| --- | --- |
| 25.03 | 100 |
| 32.95 | 57 |
| 32.08 | 55 |
| 33.76 | 45 |
| 26.77 | 44 |
| 34.82 | 33 |

Structural model:
Lattice parameters (Å, degrees): 6.041 6.041 8.710 107.39 107.39 66.91
Element x y z (fractional)
Mg1 0.000 0.000 0.000
Cu1 0.092 0.604 0.151
Cu2 0.396 0.908 0.849
Cu3 0.549 0.451 0.000
Te1 0.567 0.104 0.253
Te2 0.896 0.433 0.747
Br1 0.058 0.452 0.363
Br2 0.548 0.942 0.637
O1 0.049 0.150 0.843
O2 0.074 0.628 0.912
O3 0.372 0.926 0.088
O4 0.450 0.391 0.162
O5 0.609 0.550 0.838
O6 0.850 0.951 0.157